[1]
Ge5SbTe7: computed XRD peak list (a wavelength of 1.5418 Å), based on a cell relaxed with GGA-PBE.
Kinematic intensities with the Lorentz-polarization factor, no thermal factor.

Largest 10 diffraction maxima, in order of falling intensity, 2θ = 10–90°:
2θ = 29.44°, d = 3.034 Å, rel. 100
2θ = 28.14°, d = 3.171 Å, rel. 96
2θ = 29.08°, d = 3.071 Å, rel. 88
2θ = 30.07°, d = 2.972 Å, rel. 86
2θ = 43.19°, d = 2.095 Å, rel. 71
2θ = 27.24°, d = 3.273 Å, rel. 63
2θ = 30.54°, d = 2.928 Å, rel. 50
2θ = 41.27°, d = 2.188 Å, rel. 41
2θ = 31.42°, d = 2.847 Å, rel. 38
2θ = 42.80°, d = 2.113 Å, rel. 38

Crystal structure
Lattice parameters (Å, degrees): 4.1892 7.4468 25.2850 87.85 90.00 73.76
Sites, in units of the cell vectors:
Ge 0.0000 0.0000 0.0000
Ge 0.9996 0.9996 0.3463
Ge 0.1575 0.6861 0.7837
Ge 0.1731 0.6453 0.5667
Ge 0.2782 0.4436 0.2756
Ge 0.2800 0.4418 0.0618
Ge 0.4403 0.1199 0.8450
Ge 0.4583 0.0756 0.4962
Ge 0.7209 0.5535 0.4128
Ge 0.7291 0.5436 0.9176
Sb 0.5372 0.9246 0.1726
Sb 0.8884 0.2144 0.6428
Te 0.0774 0.8333 0.4595
Te 0.1038 0.7979 0.8890
Te 0.1836 0.6306 0.1687
Te 0.2553 0.4829 0.6732
Te 0.3465 0.2979 0.3869
Te 0.3800 0.2442 0.9629
Te 0.5387 0.9266 0.7501
Te 0.5427 0.9051 0.5999
Te 0.6201 0.7540 0.3132
Te 0.6604 0.6835 0.0248
Te 0.8089 0.3698 0.5342
Te 0.8248 0.3534 0.8104
Te 0.8970 0.2008 0.2464
Te 0.9272 0.1473 0.1014


[2]
Pm2Cu2Hg3: computed XRD peak list (a wavelength of 1.5418 Å), based on a cell relaxed with GGA-PBE.
Kinematic intensities with the Lorentz-polarization factor, no thermal factor.

Largest 10 diffraction maxima, in order of falling intensity, 2θ = 10–90°:
2θ = 31.66°, d = 2.826 Å, rel. 100
2θ = 35.88°, d = 2.503 Å, rel. 62
2θ = 37.75°, d = 2.383 Å, rel. 43
2θ = 56.17°, d = 1.638 Å, rel. 35
2θ = 30.44°, d = 2.937 Å, rel. 33
2θ = 41.71°, d = 2.165 Å, rel. 24
2θ = 62.57°, d = 1.485 Å, rel. 20
2θ = 47.93°, d = 1.898 Å, rel. 16
2θ = 65.39°, d = 1.427 Å, rel. 14
2θ = 69.47°, d = 1.353 Å, rel. 12

Crystal structure
Lattice parameters (Å, degrees): 4.3310 19.9760 3.7956 90.00 90.00 90.00
Sites, in units of the cell vectors:
Pm 0.0000 0.1681 0.0000
Pm 0.0000 0.8319 0.0000
Pm 0.5000 0.3319 0.0000
Pm 0.5000 0.6681 0.0000
Cu 0.0000 0.2817 0.5000
Cu 0.0000 0.7183 0.5000
Cu 0.5000 0.2183 0.5000
Cu 0.5000 0.7817 0.5000
Hg 0.0000 0.0000 0.0000
Hg 0.0000 0.4212 0.5000
Hg 0.0000 0.5788 0.5000
Hg 0.5000 0.0788 0.5000
Hg 0.5000 0.5000 0.0000
Hg 0.5000 0.9212 0.5000


[3]
La4PmSm2Dy: computed XRD peak list (a wavelength of 1.5418 Å), based on a cell relaxed with GGA-PBE.
Kinematic intensities with the Lorentz-polarization factor, no thermal factor.

Largest 10 diffraction maxima, in order of falling intensity, 2θ = 10–90°:
2θ = 29.77°, d = 3.001 Å, rel. 100
2θ = 34.05°, d = 2.633 Å, rel. 18
2θ = 34.29°, d = 2.615 Å, rel. 17
2θ = 35.18°, d = 2.551 Å, rel. 16
2θ = 58.32°, d = 1.582 Å, rel. 15
2θ = 58.64°, d = 1.574 Å, rel. 15
2θ = 59.82°, d = 1.546 Å, rel. 14
2θ = 49.10°, d = 1.856 Å, rel. 12
2θ = 61.83°, d = 1.501 Å, rel. 12
2θ = 49.76°, d = 1.832 Å, rel. 12

Crystal structure
Lattice parameters (Å, degrees): 5.2302 5.2667 10.2040 90.00 90.06 90.00
Sites, in units of the cell vectors:
La 0.0001 0.0000 0.2485
La 0.9999 0.0000 0.7515
La 0.5003 0.5000 0.2483
La 0.4997 0.5000 0.7517
Pm 0.0000 0.5000 0.5000
Sm 0.0000 0.5000 0.0000
Sm 0.5000 0.0000 0.5000
Dy 0.5000 0.0000 0.0000


[4]
Pm4AgS5: computed XRD peak list (a wavelength of 1.5418 Å), based on a cell relaxed with GGA-PBE.
Kinematic intensities with the Lorentz-polarization factor, no thermal factor.

Largest 10 diffraction maxima, in order of falling intensity, 2θ = 10–90°:
2θ = 31.46°, d = 2.844 Å, rel. 100
2θ = 26.99°, d = 3.304 Å, rel. 55
2θ = 44.65°, d = 2.029 Å, rel. 37
2θ = 45.52°, d = 1.993 Å, rel. 34
2θ = 55.64°, d = 1.652 Å, rel. 19
2θ = 53.34°, d = 1.718 Å, rel. 18
2θ = 27.66°, d = 3.225 Å, rel. 17
2θ = 73.99°, d = 1.281 Å, rel. 16
2θ = 75.27°, d = 1.262 Å, rel. 15
2θ = 82.91°, d = 1.164 Å, rel. 12

Crystal structure
Lattice parameters (Å, degrees): 16.2937 16.2937 16.2937 14.31 14.31 14.31
Sites, in units of the cell vectors:
Pm 0.1020 0.1020 0.1020
Pm 0.2996 0.2996 0.2996
Pm 0.7004 0.7004 0.7004
Pm 0.8980 0.8980 0.8980
Ag 0.5000 0.5000 0.5000
S 0.0000 0.0000 0.0000
S 0.1993 0.1993 0.1993
S 0.4012 0.4012 0.4012
S 0.5988 0.5988 0.5988
S 0.8007 0.8007 0.8007


[5]
Li6AcAg6: computed XRD peak list (a wavelength of 1.5418 Å), based on a cell relaxed with GGA-PBE.
Kinematic intensities with the Lorentz-polarization factor, no thermal factor.

Largest 10 diffraction maxima, in order of falling intensity, 2θ = 10–90°:
2θ = 37.95°, d = 2.371 Å, rel. 100
2θ = 18.71°, d = 4.742 Å, rel. 74
2θ = 32.64°, d = 2.743 Å, rel. 68
2θ = 33.26°, d = 2.694 Å, rel. 44
2θ = 18.91°, d = 4.693 Å, rel. 33
2θ = 38.42°, d = 2.343 Å, rel. 31
2θ = 32.85°, d = 2.727 Å, rel. 22
2θ = 26.64°, d = 3.346 Å, rel. 22
2θ = 62.54°, d = 1.485 Å, rel. 20
2θ = 40.17°, d = 2.245 Å, rel. 19

Crystal structure
Lattice parameters (Å, degrees): 7.2531 7.2531 7.2531 136.39 98.34 97.52
Sites, in units of the cell vectors:
Li 0.0000 0.0000 0.5000
Li 0.0000 0.5000 0.0000
Li 0.2376 0.0000 0.2376
Li 0.5000 0.0000 0.0000
Li 0.5000 0.5000 0.5000
Li 0.7624 0.0000 0.7624
Ac 0.0000 0.5000 0.5000
Ag 0.2219 0.2219 0.0000
Ag 0.3490 0.5000 0.8490
Ag 0.3518 0.8518 0.5000
Ag 0.6482 0.1482 0.5000
Ag 0.6510 0.5000 0.1510
Ag 0.7781 0.7781 0.0000


[6]
CsIr: computed XRD peak list (a wavelength of 1.5418 Å), based on a cell relaxed with GGA-PBE.
Kinematic intensities with the Lorentz-polarization factor, no thermal factor.

Largest 10 diffraction maxima, in order of falling intensity, 2θ = 10–90°:
2θ = 27.58°, d = 3.234 Å, rel. 100
2θ = 26.79°, d = 3.328 Å, rel. 64
2θ = 14.89°, d = 5.951 Å, rel. 52
2θ = 32.05°, d = 2.792 Å, rel. 48
2θ = 17.54°, d = 5.056 Å, rel. 44
2θ = 34.35°, d = 2.610 Å, rel. 43
2θ = 49.97°, d = 1.825 Å, rel. 39
2θ = 36.40°, d = 2.469 Å, rel. 31
2θ = 49.27°, d = 1.849 Å, rel. 26
2θ = 40.82°, d = 2.211 Å, rel. 25

Crystal structure
Lattice parameters (Å, degrees): 5.5846 11.9021 4.4211 90.00 90.00 90.00
Sites, in units of the cell vectors:
Cs 0.0000 0.1469 0.2500
Cs 0.0000 0.8531 0.7500
Cs 0.5000 0.3531 0.7500
Cs 0.5000 0.6469 0.2500
Ir 0.0000 0.4642 0.2500
Ir 0.0000 0.5358 0.7500
Ir 0.5000 0.0358 0.7500
Ir 0.5000 0.9642 0.2500